[1]
Structure and computed PXRD pattern of Tl6HgTe2 (a crystal structure in Alexandria, relaxed with PBE; CuKα).
Peak positions follow from Bragg's law for the DFT cell and can differ from measured ones.

a = 4.8179 Å, b = 15.8325 Å, c = 8.0944 Å
α = 90.00°, β = 90.00°, γ = 90.00°
Space group Amm2 (No. 38)
Symmetry-distinct sites (fractional):
Tl (0.0000, 0.0000, 0.0000) (multiplicity 2)
Tl (0.0000, 0.1382, 0.6447) (multiplicity 4)
Tl (0.5000, 0.0000, 0.3220) (multiplicity 2)
Tl (0.5000, 0.2090, 0.9593) (multiplicity 4)
Hg (0.5000, 0.0000, 0.7226) (multiplicity 2)
Te (0.0000, 0.1595, 0.2565) (multiplicity 4)

Top 10 peaks for 10 to 90 degrees two-theta, in order of falling intensity:
2θ/deg	I/Imax
27.4	100
31.0	99
29.2	58
37.3	46
33.7	31
28.8	31
36.8	26
34.0	23
56.4	22
31.6	21


[2]
Structure and computed PXRD pattern of Tl6Hg2Te3 (a crystal structure in Alexandria, relaxed with PBE; CuKα).
Peak positions follow from Bragg's law for the DFT cell and can differ from measured ones.

a = 5.1539 Å, b = 5.5156 Å, c = 14.1836 Å
α = 79.11°, β = 80.45°, γ = 89.01°
Space group P-1 (No. 2)
Symmetry-distinct sites (fractional):
Tl (0.0848, 0.0885, 0.3253) (multiplicity 2)
Tl (0.2898, 0.7660, 0.9102) (multiplicity 2)
Tl (0.3859, 0.2950, 0.7300) (multiplicity 2)
Hg (0.4672, 0.7600, 0.5652) (multiplicity 2)
Te (0.0000, 0.5000, 0.5000) (multiplicity 1)
Te (0.1744, 0.5869, 0.1408) (multiplicity 2)

Top 10 peaks for 10 to 90 degrees two-theta, in order of falling intensity:
2θ/deg	I/Imax
27.1	100
27.8	89
34.8	87
30.8	57
30.9	57
59.8	32
44.5	26
46.9	26
36.8	25
37.4	23


[3]
Structure and computed PXRD pattern of Tl5Hg2Te3 (a crystal structure in Alexandria, relaxed with PBE; CuKα).
Peak positions follow from Bragg's law for the DFT cell and can differ from measured ones.

a = 16.2847 Å, b = 10.7449 Å, c = 9.2314 Å
α = 90.00°, β = 122.29°, γ = 90.00°
Space group C2/c (No. 15)
Symmetry-distinct sites (fractional):
Tl (0.0000, 0.0761, 0.2500) (multiplicity 4)
Tl (0.0788, 0.2935, 0.6464) (multiplicity 8)
Tl (0.2293, 0.4583, 0.0978) (multiplicity 8)
Hg (0.1831, 0.3072, 0.3376) (multiplicity 8)
Te (0.0000, 0.4569, 0.2500) (multiplicity 4)
Te (0.1275, 0.1412, 0.0280) (multiplicity 8)

Top 10 peaks for 10 to 90 degrees two-theta, in order of falling intensity:
2θ/deg	I/Imax
32.5	100
29.2	90
27.1	77
29.6	72
29.0	65
30.9	41
30.2	34
32.2	34
48.7	30
56.1	28


[4]
Structure and computed PXRD pattern of TlHgTe2 (a crystal structure in Alexandria, relaxed with PBE; CuKα).
Peak positions follow from Bragg's law for the DFT cell and can differ from measured ones.

a = 7.5261 Å, b = 4.3307 Å, c = 8.2048 Å
α = 90.00°, β = 108.68°, γ = 90.00°
Space group Cm (No. 8)
Symmetry-distinct sites (fractional):
Tl (0.0000, 0.0000, 0.0000) (multiplicity 2)
Hg (0.3326, 0.5000, 0.4955) (multiplicity 2)
Te (0.2434, 0.0000, 0.7243) (multiplicity 2)
Te (0.4256, 0.0000, 0.2777) (multiplicity 2)

Top 10 peaks for 10 to 90 degrees two-theta, in order of falling intensity:
2θ/deg	I/Imax
30.5	100
41.6	56
30.8	48
36.2	45
24.9	34
41.7	28
35.7	23
52.7	21
24.0	20
25.0	18


[5]
Structure and computed PXRD pattern of Tl2Hg2Te (a crystal structure in Alexandria, relaxed with PBE; CuKα).
Peak positions follow from Bragg's law for the DFT cell and can differ from measured ones.

a = 9.0346 Å, b = 5.2076 Å, c = 7.7027 Å
α = 90.00°, β = 113.02°, γ = 90.00°
Space group C2/m (No. 12)
Symmetry-distinct sites (fractional):
Tl (0.0995, 0.0000, 0.2987) (multiplicity 4)
Hg (0.1927, 0.5000, 0.0780) (multiplicity 4)
Te (0.0000, 0.5000, 0.5000) (multiplicity 2)

Top 10 peaks for 10 to 90 degrees two-theta, in order of falling intensity:
2θ/deg	I/Imax
28.8	100
34.4	65
45.5	29
58.3	28
47.2	25
70.8	15
59.7	12
61.6	12
76.5	11
79.8	8


[6]
Structure and computed PXRD pattern of Tl2Hg5Te (a crystal structure in Alexandria, relaxed with PBE; CuKα).
Peak positions follow from Bragg's law for the DFT cell and can differ from measured ones.

a = 5.4945 Å, b = 6.8805 Å, c = 7.3164 Å
α = 94.02°, β = 111.87°, γ = 90.45°
Space group P1 (No. 1)
Symmetry-distinct sites (fractional):
Tl (0.0000, 0.0000, 0.0000) (multiplicity 1)
Tl (0.4980, 0.5082, 0.9961) (multiplicity 1)
Hg (0.2402, 0.2483, 0.4828) (multiplicity 1)
Hg (0.3632, 0.8783, 0.7255) (multiplicity 1)
Hg (0.6259, 0.1295, 0.2541) (multiplicity 1)
Hg (0.7527, 0.7715, 0.5041) (multiplicity 1)
Hg (0.8572, 0.3892, 0.7148) (multiplicity 1)
Te (0.1217, 0.6298, 0.2424) (multiplicity 1)

Top 10 peaks for 10 to 90 degrees two-theta, in order of falling intensity:
2θ/deg	I/Imax
29.4	100
28.2	56
32.6	39
38.4	24
38.5	24
43.5	18
43.8	17
43.8	17
44.0	17
56.2	17


[7]
Structure and computed PXRD pattern of Tl8HgTe6 (a crystal structure in Alexandria, relaxed with PBE; CuKα).
Peak positions follow from Bragg's law for the DFT cell and can differ from measured ones.

a = 9.5333 Å, b = 10.0793 Å, c = 11.7666 Å
α = 90.00°, β = 90.00°, γ = 90.00°
Space group Pmn2_1 (No. 31)
Symmetry-distinct sites (fractional):
Tl (0.0000, 0.2487, 0.0784) (multiplicity 2)
Tl (0.0000, 0.2495, 0.7076) (multiplicity 2)
Tl (0.2131, 0.5561, 0.5000) (multiplicity 4)
Tl (0.2131, 0.9440, 0.4994) (multiplicity 4)
Tl (0.2214, 0.7490, 0.7811) (multiplicity 4)
Hg (0.0000, 0.7500, 0.2105) (multiplicity 2)
Te (0.0000, 0.0100, 0.8470) (multiplicity 2)
Te (0.0000, 0.0107, 0.3004) (multiplicity 2)
Te (0.0000, 0.4890, 0.8473) (multiplicity 2)
Te (0.0000, 0.4895, 0.3006) (multiplicity 2)
Te (0.2497, 0.2499, 0.5599) (multiplicity 4)

Top 10 peaks for 10 to 90 degrees two-theta, in order of falling intensity:
2θ/deg	I/Imax
29.9	100
23.2	100
24.0	94
33.5	91
30.8	88
40.1	77
22.0	67
30.4	62
37.7	60
40.2	59


[8]
Structure and computed PXRD pattern of Tl10HgTe5 (a crystal structure in Alexandria, relaxed with PBE; CuKα).
Peak positions follow from Bragg's law for the DFT cell and can differ from measured ones.

a = 12.9201 Å, b = 12.9201 Å, c = 6.6642 Å
α = 90.00°, β = 90.00°, γ = 90.00°
Space group I422 (No. 97)
Symmetry-distinct sites (fractional):
Tl (0.0000, 0.5000, 0.0000) (multiplicity 4)
Tl (0.0834, 0.2175, 0.2553) (multiplicity 16)
Hg (0.0000, 0.0000, 0.0000) (multiplicity 2)
Te (0.0000, 0.0000, 0.5000) (multiplicity 2)
Te (0.1596, 0.3404, 0.7500) (multiplicity 8)

Top 10 peaks for 10 to 90 degrees two-theta, in order of falling intensity:
2θ/deg	I/Imax
31.5	100
28.3	71
31.0	71
30.2	54
33.3	49
50.4	27
58.5	22
26.8	21
64.6	19
49.9	17


[9]
Structure and computed PXRD pattern of Tl16Hg12Te (a crystal structure in Alexandria, relaxed with PBE; CuKα).
Peak positions follow from Bragg's law for the DFT cell and can differ from measured ones.

a = 12.1004 Å, b = 16.4635 Å, c = 10.3395 Å
α = 90.00°, β = 122.50°, γ = 90.00°
Space group Cm (No. 8)
Symmetry-distinct sites (fractional):
Tl (0.0000, 0.0000, 0.0000) (multiplicity 2)
Tl (0.0126, 0.3662, 0.9734) (multiplicity 4)
Tl (0.0258, 0.3137, 0.3261) (multiplicity 4)
Tl (0.1661, 0.2002, 0.6724) (multiplicity 4)
Tl (0.2262, 0.0000, 0.6718) (multiplicity 2)
Tl (0.3168, 0.3103, 0.0052) (multiplicity 4)
Tl (0.3378, 0.3550, 0.3601) (multiplicity 4)
Tl (0.3488, 0.0000, 0.3261) (multiplicity 2)
Tl (0.3823, 0.1707, 0.5572) (multiplicity 4)
Tl (0.4318, 0.5000, 0.6322) (multiplicity 2)
Hg (0.0097, 0.5000, 0.7355) (multiplicity 2)
Hg (0.0831, 0.0940, 0.3382) (multiplicity 4)
Hg (0.1673, 0.1981, 0.1596) (multiplicity 4)
Hg (0.1931, 0.4037, 0.6664) (multiplicity 4)
Hg (0.2624, 0.0935, 0.9880) (multiplicity 4)
Hg (0.2683, 0.5000, 0.0786) (multiplicity 2)
Hg (0.4667, 0.3187, 0.7928) (multiplicity 4)
Te (0.1233, 0.5000, 0.2968) (multiplicity 2)

Top 10 peaks for 10 to 90 degrees two-theta, in order of falling intensity:
2θ/deg	I/Imax
30.8	100
31.9	75
31.6	68
30.9	68
32.3	61
32.2	49
35.8	49
37.2	38
32.7	31
33.5	31


[10]
Structure and computed PXRD pattern of Tl3Hg7Te (a crystal structure in Alexandria, relaxed with PBE; CuKα).
Peak positions follow from Bragg's law for the DFT cell and can differ from measured ones.

a = 3.3423 Å, b = 24.2119 Å, c = 16.7428 Å
α = 90.00°, β = 93.45°, γ = 90.00°
Space group C2/c (No. 15)
Symmetry-distinct sites (fractional):
Tl (0.0000, 0.0462, 0.2500) (multiplicity 4)
Tl (0.0198, 0.1855, 0.4430) (multiplicity 8)
Hg (0.0000, 0.1061, 0.7500) (multiplicity 4)
Hg (0.0074, 0.3096, 0.1341) (multiplicity 8)
Hg (0.0084, 0.4336, 0.9217) (multiplicity 8)
Hg (0.0556, 0.0543, 0.5851) (multiplicity 8)
Te (0.0000, 0.1788, 0.2500) (multiplicity 4)

Top 10 peaks for 10 to 90 degrees two-theta, in order of falling intensity:
2θ/deg	I/Imax
29.5	100
35.7	61
32.1	56
34.9	52
37.2	45
32.4	45
30.6	35
34.0	35
27.3	31
27.7	30


[11]
Structure and computed PXRD pattern of Tm5HgTe2 (a crystal structure in Alexandria, relaxed with PBE; CuKα).
Peak positions follow from Bragg's law for the DFT cell and can differ from measured ones.

a = 5.9008 Å, b = 12.5734 Å, c = 12.8862 Å
α = 90.00°, β = 90.00°, γ = 90.00°
Space group Cmcm (No. 63)
Symmetry-distinct sites (fractional):
Tm (0.0000, 0.0509, 0.1140) (multiplicity 8)
Tm (0.0000, 0.3816, 0.7500) (multiplicity 4)
Tm (0.0000, 0.3861, 0.0585) (multiplicity 8)
Hg (0.0000, 0.2530, 0.2500) (multiplicity 4)
Te (0.0000, 0.1908, 0.5892) (multiplicity 8)

Top 10 peaks for 10 to 90 degrees two-theta, in order of falling intensity:
2θ/deg	I/Imax
33.5	100
30.3	63
32.5	34
25.1	26
55.9	23
39.6	19
38.9	17
39.7	15
42.1	15
52.7	15


[12]
Structure and computed PXRD pattern of Tm7Hg2Te2 (a crystal structure in Alexandria, relaxed with PBE; CuKα).
Peak positions follow from Bragg's law for the DFT cell and can differ from measured ones.

a = 4.3026 Å, b = 14.9204 Å, c = 9.5278 Å
α = 90.00°, β = 90.00°, γ = 90.00°
Space group Imm2 (No. 44)
Symmetry-distinct sites (fractional):
Tm (0.0000, 0.0000, 0.0000) (multiplicity 2)
Tm (0.0000, 0.1272, 0.4016) (multiplicity 4)
Tm (0.0000, 0.3157, 0.6169) (multiplicity 4)
Tm (0.0000, 0.3613, 0.2488) (multiplicity 4)
Hg (0.0000, 0.2325, 0.9220) (multiplicity 4)
Te (0.0000, 0.0000, 0.6546) (multiplicity 2)
Te (0.0000, 0.5000, 0.7619) (multiplicity 2)

Top 10 peaks for 10 to 90 degrees two-theta, in order of falling intensity:
2θ/deg	I/Imax
33.1	100
33.3	50
28.6	42
42.0	33
33.5	30
37.2	29
35.1	23
31.4	21
54.7	15
11.9	14